Entry 1:
Theoretical powder XRD pattern
Compound: CdRu8
Radiation: CuKα
Structure: DFT lattice parameters and positions (GGA-PBE)
Neutral-atom scattering factors, no anomalous dispersion.

Top 6 peaks for 2θ from 10° to 80°, by angle:
| 2theta | Rel. int. |
| --- | --- |
| 40.28 | 100 |
| 46.73 | 32 |
| 47.11 | 16 |
| 65.59 | 2 |
| 68.23 | 9 |
| 68.53 | 20 |

Cell and atoms:
```
data_CdRu8
_chemical_formula_sum 'Cd1 Ru8'
_cell_length_a 6.142
_cell_length_b 6.142
_cell_length_c 6.142
_cell_angle_alpha 95.66
_cell_angle_beta 95.66
_cell_angle_gamma 143.39
_space_group_name_H-M_alt 'P 1'
_space_group_IT_number 1
loop_
_space_group_symop_operation_xyz
'x,y,z'
loop_
_atom_site_label
_atom_site_type_symbol
_atom_site_fract_x
_atom_site_fract_y
_atom_site_fract_z
Cd1 Cd 0.000 0.000 0.000
Ru1 Ru 0.000 0.344 0.344
Ru2 Ru 0.000 0.656 0.656
Ru3 Ru 0.324 0.324 0.647
Ru4 Ru 0.324 0.676 0.000
Ru5 Ru 0.344 0.000 0.344
Ru6 Ru 0.656 0.000 0.656
Ru7 Ru 0.676 0.324 0.000
Ru8 Ru 0.676 0.676 0.353
```

***

Entry 2:
Theoretical powder XRD pattern
Compound: Na2Lu3Te4I3O12
Radiation: CuKα
Structure: DFT lattice parameters and positions (GGA-PBE)
Neutral-atom scattering factors, no anomalous dispersion.

Top 6 peaks for 2θ from 10° to 80°, by angle:
| 2theta | Rel. int. |
| --- | --- |
| 29.72 | 100 |
| 32.13 | 14 |
| 32.28 | 15 |
| 46.19 | 15 |
| 51.17 | 12 |
| 55.80 | 13 |

Cell and atoms:
```
data_Na2Lu3Te4I3O12
_chemical_formula_sum 'Na4 Lu6 Te8 I6 O24'
_cell_length_a 9.332
_cell_length_b 5.546
_cell_length_c 16.714
_cell_angle_alpha 90.00
_cell_angle_beta 90.07
_cell_angle_gamma 90.00
_space_group_name_H-M_alt 'P 1'
_space_group_IT_number 1
loop_
_space_group_symop_operation_xyz
'x,y,z'
loop_
_atom_site_label
_atom_site_type_symbol
_atom_site_fract_x
_atom_site_fract_y
_atom_site_fract_z
Na1 Na 0.204 0.238 0.413
Na2 Na 0.204 0.762 0.913
Na3 Na 0.796 0.238 0.087
Na4 Na 0.796 0.762 0.587
Lu1 Lu 0.499 0.246 0.585
Lu2 Lu 0.499 0.754 0.085
Lu3 Lu 0.500 0.253 0.250
Lu4 Lu 0.500 0.747 0.750
Lu5 Lu 0.501 0.246 0.915
Lu6 Lu 0.501 0.754 0.415
Te1 Te 0.252 0.292 0.767
Te2 Te 0.252 0.708 0.267
Te3 Te 0.256 0.213 0.066
Te4 Te 0.256 0.787 0.566
Te5 Te 0.744 0.213 0.434
Te6 Te 0.744 0.787 0.934
Te7 Te 0.748 0.292 0.733
Te8 Te 0.748 0.708 0.233
I1 I 0.000 0.247 0.250
I2 I 0.000 0.753 0.750
I3 I 0.003 0.253 0.583
I4 I 0.003 0.747 0.083
I5 I 0.997 0.253 0.917
I6 I 0.997 0.747 0.417
O1 O 0.345 0.493 0.342
O2 O 0.345 0.507 0.842
O3 O 0.349 0.006 0.493
O4 O 0.349 0.994 0.993
O5 O 0.368 0.040 0.813
O6 O 0.368 0.960 0.313
O7 O 0.373 0.427 0.685
O8 O 0.373 0.460 0.021
O9 O 0.373 0.540 0.521
O10 O 0.373 0.573 0.185
O11 O 0.380 0.079 0.146
O12 O 0.380 0.921 0.646
O13 O 0.620 0.079 0.354
O14 O 0.620 0.921 0.854
O15 O 0.627 0.427 0.815
O16 O 0.627 0.460 0.479
O17 O 0.627 0.540 0.979
O18 O 0.627 0.573 0.315
O19 O 0.632 0.040 0.687
O20 O 0.632 0.960 0.187
O21 O 0.651 0.006 0.007
O22 O 0.651 0.994 0.507
O23 O 0.655 0.493 0.158
O24 O 0.655 0.507 0.658
```

***

Entry 3:
Theoretical powder XRD pattern
Compound: Pm3Te3Cl
Radiation: CuKα
Structure: DFT lattice parameters and positions (GGA-PBE)
Neutral-atom scattering factors, no anomalous dispersion.

Top 6 peaks for 2θ from 10° to 80°, by angle:
| 2theta | Rel. int. |
| --- | --- |
| 24.11 | 30 |
| 30.42 | 47 |
| 31.48 | 100 |
| 31.93 | 34 |
| 36.64 | 32 |
| 37.03 | 67 |

Cell and atoms:
```
data_Pm3Te3Cl
_chemical_formula_sum 'Pm3 Te3 Cl1'
_cell_length_a 6.168
_cell_length_b 6.168
_cell_length_c 6.168
_cell_angle_alpha 103.85
_cell_angle_beta 103.85
_cell_angle_gamma 103.85
_space_group_name_H-M_alt 'P 1'
_space_group_IT_number 1
loop_
_space_group_symop_operation_xyz
'x,y,z'
loop_
_atom_site_label
_atom_site_type_symbol
_atom_site_fract_x
_atom_site_fract_y
_atom_site_fract_z
Pm1 Pm 0.002 0.499 0.499
Pm2 Pm 0.499 0.002 0.499
Pm3 Pm 0.499 0.499 0.002
Te1 Te 0.328 0.934 0.934
Te2 Te 0.934 0.328 0.934
Te3 Te 0.934 0.934 0.328
Cl1 Cl 0.500 0.500 0.500
```

***

Entry 4:
Theoretical powder XRD pattern
Compound: Ce2Mg16In
Radiation: CuKα
Structure: DFT lattice parameters and positions (GGA-PBE)
Neutral-atom scattering factors, no anomalous dispersion.

Top 6 peaks for 2θ from 10° to 80°, by angle:
| 2theta | Rel. int. |
| --- | --- |
| 17.26 | 99 |
| 24.69 | 73 |
| 30.14 | 86 |
| 34.94 | 84 |
| 35.07 | 100 |
| 35.80 | 38 |

Cell and atoms:
```
data_Ce2Mg16In
_chemical_formula_sum 'Ce2 Mg16 In1'
_cell_length_a 7.798
_cell_length_b 7.798
_cell_length_c 7.798
_cell_angle_alpha 82.40
_cell_angle_beta 82.40
_cell_angle_gamma 82.40
_space_group_name_H-M_alt 'P 1'
_space_group_IT_number 1
loop_
_space_group_symop_operation_xyz
'x,y,z'
loop_
_atom_site_label
_atom_site_type_symbol
_atom_site_fract_x
_atom_site_fract_y
_atom_site_fract_z
Ce1 Ce 0.000 0.000 0.000
Ce2 Ce 0.343 0.343 0.343
Mg1 Mg 0.023 0.023 0.509
Mg2 Mg 0.023 0.509 0.023
Mg3 Mg 0.174 0.670 0.670
Mg4 Mg 0.321 0.321 0.832
Mg5 Mg 0.321 0.832 0.321
Mg6 Mg 0.367 0.671 0.975
Mg7 Mg 0.367 0.975 0.671
Mg8 Mg 0.509 0.023 0.023
Mg9 Mg 0.578 0.578 0.578
Mg10 Mg 0.670 0.174 0.670
Mg11 Mg 0.670 0.670 0.174
Mg12 Mg 0.671 0.367 0.975
Mg13 Mg 0.671 0.975 0.367
Mg14 Mg 0.832 0.321 0.321
Mg15 Mg 0.975 0.367 0.671
Mg16 Mg 0.975 0.671 0.367
In1 In 0.775 0.775 0.775
```